[1]
TbHo3Tm5: calculated powder XRD pattern (Cu Kα X-rays), based on a crystal structure in Alexandria, relaxed with PBE.
Kinematic intensities with the Lorentz-polarization factor, no thermal factor.

Main lines, in order of rising 2θ (10 to 90 degrees two-theta):
two_theta  Rel. int.
29.5  38
29.8  25
30.2  84
30.4  92
31.7  68
32.8  100
33.0  25
39.3  28

Structure:
a b c (Å): 9.1331 9.1331 10.9349
angles (deg): 126.25 126.25 56.89
Fractional positions:
Tb: 0.2477 0.7523 0.7500
Tb: 0.7523 0.2477 0.2500
Ho: 0.0000 0.0000 0.0000
Ho: 0.0000 0.0000 0.5000
Ho: 0.1861 0.2504 0.9680
Ho: 0.2504 0.1861 0.4680
Ho: 0.7496 0.8139 0.5320
Ho: 0.8139 0.7496 0.0320
Tm: 0.1026 0.5339 0.3325
Tm: 0.2844 0.5240 0.8890
Tm: 0.3239 0.6761 0.2500
Tm: 0.4661 0.8974 0.1675
Tm: 0.4760 0.7156 0.6110
Tm: 0.5240 0.2844 0.3890
Tm: 0.5339 0.1026 0.8325
Tm: 0.6761 0.3239 0.7500
Tm: 0.7156 0.4760 0.1110
Tm: 0.8974 0.4661 0.6675

[2]
TbHo8Tm5: calculated powder XRD pattern (Cu Kα X-rays), based on a crystal structure in Alexandria, relaxed with PBE.
Kinematic intensities with the Lorentz-polarization factor, no thermal factor.

Main lines, in order of rising 2θ (10 to 90 degrees two-theta):
two_theta  Rel. int.
28.4  57
29.8  67
30.0  74
32.3  23
34.3  100
35.0  45
35.5  52
63.9  32

Structure:
a b c (Å): 8.3368 8.3368 8.3368
angles (deg): 111.14 111.14 106.18
Fractional positions:
Tb: 0.0000 0.0000 0.0000
Ho: 0.0924 0.3302 0.4177
Ho: 0.2767 0.1708 0.7539
Ho: 0.3253 0.9076 0.2378
Ho: 0.4169 0.5228 0.2461
Ho: 0.4772 0.7233 0.8941
Ho: 0.6698 0.0875 0.7622
Ho: 0.8292 0.5831 0.1059
Ho: 0.9125 0.6747 0.5823
Tm: 0.0333 0.4363 0.8206
Tm: 0.2500 0.7500 0.5000
Tm: 0.5637 0.3843 0.5970
Tm: 0.6157 0.2127 0.1794
Tm: 0.7873 0.9667 0.4030

[3]
Tb12Ho2Tm5: calculated powder XRD pattern (Cu Kα X-rays), based on a crystal structure in Alexandria, relaxed with PBE.
Kinematic intensities with the Lorentz-polarization factor, no thermal factor.

Main lines, in order of rising 2θ (10 to 90 degrees two-theta):
two_theta  Rel. int.
28.8  18
29.6  39
31.2  67
32.6  100
32.7  46
33.1  60
50.2  17
60.6  15

Structure:
a b c (Å): 6.1987 9.8382 10.1840
angles (deg): 100.00 96.31 99.47
Fractional positions:
Tb: 0.0187 0.4401 0.1764
Tb: 0.0367 0.3289 0.5105
Tb: 0.0807 0.2311 0.8398
Tb: 0.3109 0.9498 0.7218
Tb: 0.3844 0.8265 0.0064
Tb: 0.4727 0.6179 0.6570
Tb: 0.5273 0.3821 0.3430
Tb: 0.6156 0.1735 0.9936
Tb: 0.6891 0.0502 0.2782
Tb: 0.9193 0.7689 0.1602
Tb: 0.9633 0.6711 0.4895
Tb: 0.9813 0.5599 0.8236
Ho: 0.2290 0.0174 0.4240
Ho: 0.7710 0.9826 0.5760
Tm: 0.1501 0.1100 0.1334
Tm: 0.4453 0.7187 0.3230
Tm: 0.5000 0.5000 0.0000
Tm: 0.5547 0.2813 0.6770
Tm: 0.8499 0.8900 0.8666

[4]
Tb3Ho5Tm4: calculated powder XRD pattern (Cu Kα X-rays), based on a crystal structure in Alexandria, relaxed with PBE.
Kinematic intensities with the Lorentz-polarization factor, no thermal factor.

Main lines, in order of rising 2θ (10 to 90 degrees two-theta):
two_theta  Rel. int.
31.2  100
36.2  51
52.1  30
61.9  28
62.0  14
65.1  9
85.2  7
87.9  8

Structure:
a b c (Å): 6.0824 7.0318 8.5973
angles (deg): 89.98 89.95 89.91
Fractional positions:
Tb: 0.0000 0.0000 0.0000
Tb: 0.1662 0.2509 0.3339
Tb: 0.8338 0.7491 0.6661
Ho: 0.0000 0.5000 0.0000
Ho: 0.3336 0.9996 0.6662
Ho: 0.4994 0.7493 0.0000
Ho: 0.5006 0.2507 0.0000
Ho: 0.6664 0.0004 0.3338
Tm: 0.1671 0.7495 0.3339
Tm: 0.3336 0.4997 0.6662
Tm: 0.6664 0.5003 0.3338
Tm: 0.8329 0.2505 0.6661

[5]
Tb3Ho9Tm2: calculated powder XRD pattern (Cu Kα X-rays), based on a crystal structure in Alexandria, relaxed with PBE.
Kinematic intensities with the Lorentz-polarization factor, no thermal factor.

Main lines, in order of rising 2θ (10 to 90 degrees two-theta):
two_theta  Rel. int.
31.6  49
31.7  46
32.0  100
33.7  52
34.9  35
41.7  15
49.4  15
63.2  14

Structure:
a b c (Å): 6.2063 8.5918 8.7277
angles (deg): 79.90 75.74 87.30
Fractional positions:
Tb: 0.0000 0.0000 0.0000
Tb: 0.1680 0.3353 0.1965
Tb: 0.4785 0.7495 0.5526
Ho: 0.0353 0.7569 0.3672
Ho: 0.1444 0.0648 0.5602
Ho: 0.2546 0.3740 0.7680
Ho: 0.3243 0.6796 0.9694
Ho: 0.4433 0.9726 0.1686
Ho: 0.5787 0.0383 0.7690
Ho: 0.7034 0.5957 0.1996
Ho: 0.7149 0.1272 0.3660
Ho: 0.8921 0.7009 0.7815
Tm: 0.6956 0.3294 0.9680
Tm: 0.8196 0.4065 0.5670

[6]
Tb3HoTm6: calculated powder XRD pattern (Cu Kα X-rays), based on a crystal structure in Alexandria, relaxed with PBE.
Kinematic intensities with the Lorentz-polarization factor, no thermal factor.

Main lines, in order of rising 2θ (10 to 90 degrees two-theta):
two_theta  Rel. int.
29.2  63
29.5  34
31.6  57
32.1  100
32.7  56
33.3  37
34.4  51
35.2  24

Structure:
a b c (Å): 11.4028 11.4028 6.2963
angles (deg): 90.00 90.00 131.03
Fractional positions:
Tb: 0.0790 0.9210 0.5000
Tb: 0.2029 0.4592 0.1057
Tb: 0.4592 0.2029 0.6057
Tb: 0.5408 0.7971 0.1057
Tb: 0.7971 0.5408 0.6057
Tb: 0.9210 0.0790 0.0000
Ho: 0.3383 0.6617 0.5791
Ho: 0.6617 0.3383 0.0791
Tm: 0.0426 0.6048 0.2645
Tm: 0.1213 0.2444 0.5272
Tm: 0.1980 0.8020 0.8055
Tm: 0.2444 0.1213 0.0272
Tm: 0.3952 0.9574 0.2645
Tm: 0.4860 0.5140 0.7764
Tm: 0.5140 0.4860 0.2764
Tm: 0.6048 0.0426 0.7645
Tm: 0.7556 0.8787 0.5272
Tm: 0.8020 0.1980 0.3055
Tm: 0.8787 0.7556 0.0272
Tm: 0.9574 0.3952 0.7645

[7]
TbHo2Tm: calculated powder XRD pattern (Cu Kα X-rays), based on a crystal structure in Alexandria, relaxed with PBE.
Kinematic intensities with the Lorentz-polarization factor, no thermal factor.

Main lines, in order of rising 2θ (10 to 90 degrees two-theta):
two_theta  Rel. int.
28.7  24
32.0  24
33.0  100
43.5  16
51.0  13
57.6  20
61.4  15
61.9  11

Structure:
a b c (Å): 5.5999 7.1900 6.2006
angles (deg): 90.00 90.00 90.00
Fractional positions:
Tb: 0.2500 0.2500 0.1666
Tb: 0.7500 0.7500 0.8334
Ho: 0.2500 0.0004 0.6674
Ho: 0.2500 0.4996 0.6674
Ho: 0.7500 0.9996 0.3326
Ho: 0.7500 0.5004 0.3326
Tm: 0.2500 0.7500 0.1679
Tm: 0.7500 0.2500 0.8321

[8]
TbHo2Tm: calculated powder XRD pattern (Cu Kα X-rays), based on a crystal structure in Alexandria, relaxed with PBE.
Kinematic intensities with the Lorentz-polarization factor, no thermal factor.

Main lines, in order of rising 2θ (10 to 90 degrees two-theta):
two_theta  Rel. int.
29.6  34
31.6  49
32.0  100
34.6  81
51.5  37
54.8  22
61.7  44
88.3  17

Structure:
a b c (Å): 11.5197 11.5197 11.5197
angles (deg): 17.71 17.71 17.71
Fractional positions:
Tb: 0.0000 0.0000 0.0000
Ho: 0.1667 0.1667 0.1667
Ho: 0.7500 0.7500 0.7500
Tm: 0.5830 0.5830 0.5830